1.
Diffraction record for TbB2Ir2. The powder XRD pattern is computed, not measured: it uses a cell relaxed with PBE and Cu Ka.
Peak positions follow from Bragg's law for the DFT cell and can differ from measured ones.

Main lines, in order of falling intensity (5° ≤ 2θ ≤ 70°):
2θ (°)	I_rel
30.48	100
39.35	81
35.25	62
45.31	52
36.63	45
46.44	27

```
data_TbB2Ir2
_cell_length_a 9.1514
_cell_length_b 9.1647
_cell_length_c 13.8436
_cell_angle_alpha 90.00
_cell_angle_beta 90.00
_cell_angle_gamma 90.00
_space_group_name_H-M_alt 'F d d d'
_space_group_IT_number 70
loop_
_space_group_symop_operation_xyz
'x,y,z'
'-x,-y,-z'
'-x+1/4,-y+1/4,z'
'x+1/4,y+1/4,-z'
'x,-y+1/4,-z+1/4'
'-x,y+1/4,z+1/4'
'-x+1/4,y,-z+1/4'
'x+1/4,-y,z+1/4'
'x,y+1/2,z+1/2'
'-x,-y+1/2,-z+1/2'
'-x+1/4,-y+3/4,z+1/2'
'x+1/4,y+3/4,-z+1/2'
'x,-y+3/4,-z+3/4'
'-x,y+3/4,z+3/4'
'-x+1/4,y+1/2,-z+3/4'
'x+1/4,-y+1/2,z+3/4'
'x+1/2,y,z+1/2'
'-x+1/2,-y,-z+1/2'
'-x+3/4,-y+1/4,z+1/2'
'x+3/4,y+1/4,-z+1/2'
'x+1/2,-y+1/4,-z+3/4'
'-x+1/2,y+1/4,z+3/4'
'-x+3/4,y,-z+3/4'
'x+3/4,-y,z+3/4'
'x+1/2,y+1/2,z'
'-x+1/2,-y+1/2,-z'
'-x+3/4,-y+3/4,z'
'x+3/4,y+3/4,-z'
'x+1/2,-y+3/4,-z+1/4'
'-x+1/2,y+3/4,z+1/4'
'-x+3/4,y+1/2,-z+1/4'
'x+3/4,-y+1/2,z+1/4'
loop_
_atom_site_label
_atom_site_type_symbol
_atom_site_fract_x
_atom_site_fract_y
_atom_site_fract_z
Tb1 Tb 0.0000 0.0000 0.0000
B1 B 0.0524 0.0538 0.7354
Ir1 Ir 0.0200 0.0192 0.4045
```

***

2.
Diffraction record for Dy6Cu23. The powder XRD pattern is computed, not measured: it uses a cell relaxed with PBE and Cu Ka.
Peak positions follow from Bragg's law for the DFT cell and can differ from measured ones.

Main lines, in order of falling intensity (5° ≤ 2θ ≤ 70°):
2θ (°)	I_rel
42.11	100
38.54	64
36.26	24
25.42	17
65.22	15
32.14	13

```
data_Dy6Cu23
_cell_length_a 12.1382
_cell_length_b 12.1382
_cell_length_c 12.1382
_cell_angle_alpha 90.00
_cell_angle_beta 90.00
_cell_angle_gamma 90.00
_space_group_name_H-M_alt 'F m -3 m'
_space_group_IT_number 225
_space_group_name_Hall '-F 4 2 3'
loop_
_atom_site_label
_atom_site_type_symbol
_atom_site_fract_x
_atom_site_fract_y
_atom_site_fract_z
Dy1 Dy 0.0000 0.0000 0.2138
Cu1 Cu 0.0000 0.0000 0.5000
Cu2 Cu 0.0000 0.2500 0.2500
Cu3 Cu 0.1217 0.1217 0.3783
Cu4 Cu 0.1728 0.1728 0.1728
```

***

3.
Diffraction record for Cr21Fe2C6. The powder XRD pattern is computed, not measured: it uses a cell relaxed with PBE and Cu Ka.
Peak positions follow from Bragg's law for the DFT cell and can differ from measured ones.

Main lines, in order of falling intensity (5° ≤ 2θ ≤ 70°):
2θ (°)	I_rel
44.61	100
41.93	30
51.20	27
38.13	25
48.81	23
51.98	12

```
data_Cr21Fe2C6
_cell_length_a 10.5545
_cell_length_b 10.5545
_cell_length_c 10.5545
_cell_angle_alpha 90.00
_cell_angle_beta 90.00
_cell_angle_gamma 90.00
_space_group_name_H-M_alt 'F m -3 m'
_space_group_IT_number 225
_space_group_name_Hall '-F 4 2 3'
loop_
_atom_site_label
_atom_site_type_symbol
_atom_site_fract_x
_atom_site_fract_y
_atom_site_fract_z
Cr1 Cr 0.0000 0.0000 0.0000
Cr2 Cr 0.0000 0.1696 0.1696
Cr3 Cr 0.1180 0.1180 0.3820
Fe1 Fe 0.2500 0.2500 0.2500
C1 C 0.0000 0.0000 0.2770
```

***

4.
Diffraction record for Mn4Fe2P3. The powder XRD pattern is computed, not measured: it uses a cell relaxed with PBE and Cu Ka.
Peak positions follow from Bragg's law for the DFT cell and can differ from measured ones.

Main lines, in order of falling intensity (5° ≤ 2θ ≤ 70°):
2θ (°)	I_rel
40.50	100
43.98	55
40.36	51
44.15	29
56.73	27
45.23	21

```
data_Mn4Fe2P3
_cell_length_a 6.1184
_cell_length_b 3.2456
_cell_length_c 6.1323
_cell_angle_alpha 90.00
_cell_angle_beta 119.60
_cell_angle_gamma 90.00
_space_group_name_H-M_alt 'P 1 m 1'
_space_group_IT_number 6
loop_
_space_group_symop_operation_xyz
'x,y,z'
'x,-y,z'
loop_
_atom_site_label
_atom_site_type_symbol
_atom_site_fract_x
_atom_site_fract_y
_atom_site_fract_z
Mn1 Mn 0.0000 0.0000 0.0000
Mn2 Mn 0.1392 0.5000 0.4014
Mn3 Mn 0.4846 0.0000 0.7468
Mn4 Mn 0.7378 0.0000 0.2621
Fe1 Fe 0.3423 0.5000 0.0065
Fe2 Fe 0.7443 0.5000 0.6048
P1 P 0.0753 0.0000 0.6676
P2 P 0.4048 0.0000 0.3374
P3 P 0.7406 0.5000 0.0026
```

***

5.
Diffraction record for TbHg2. The powder XRD pattern is computed, not measured: it uses a cell relaxed with PBE and Cu Ka.
Peak positions follow from Bragg's law for the DFT cell and can differ from measured ones.

Main lines, in order of falling intensity (5° ≤ 2θ ≤ 70°):
2θ (°)	I_rel
33.18	100
36.14	97
65.66	34
49.87	32
63.12	32
44.87	20

```
data_TbHg2
_cell_length_a 4.9704
_cell_length_b 4.9704
_cell_length_c 3.4675
_cell_angle_alpha 90.00
_cell_angle_beta 90.00
_cell_angle_gamma 120.00
_space_group_name_H-M_alt 'P -3 m 1'
_space_group_IT_number 164
_space_group_name_Hall '-P 3 2"'
loop_
_atom_site_label
_atom_site_type_symbol
_atom_site_fract_x
_atom_site_fract_y
_atom_site_fract_z
Tb1 Tb 0.0000 0.0000 0.0000
Hg1 Hg 0.3333 0.6667 0.5148
```